(1)
Pr12Dy7Tm: simulated X-ray diffraction stick pattern (CuKα), based on a cell relaxed with GGA-PBE.
No peak broadening, texture or thermal motion is included.

Largest 10 diffraction maxima, in order of falling intensity, 10 to 80 degrees two-theta:
Position (°2θ)	I/Imax
29.77	100
32.48	47
32.74	47
27.13	45
30.30	44
38.94	41
34.24	28
47.15	27
46.02	27
39.62	25

Atomic structure:
Cell: 11.578 11.578 11.578 Å, 116.80 116.80 116.80°
Fractional coordinates of all 20 atoms:
Pr1 0.000 0.412 0.588
Pr2 0.000 0.588 0.412
Pr3 0.083 0.083 0.435
Pr4 0.083 0.435 0.083
Pr5 0.412 0.000 0.588
Pr6 0.412 0.588 0.000
Pr7 0.435 0.083 0.083
Pr8 0.565 0.917 0.917
Pr9 0.588 0.000 0.412
Pr10 0.588 0.412 0.000
Pr11 0.917 0.565 0.917
Pr12 0.917 0.917 0.565
Dy1 0.000 0.000 0.000
Dy2 0.133 0.377 0.377
Dy3 0.377 0.133 0.377
Dy4 0.377 0.377 0.133
Dy5 0.623 0.623 0.867
Dy6 0.623 0.867 0.623
Dy7 0.867 0.623 0.623
Tm1 0.500 0.500 0.500



(2)
Na2BePd2: simulated X-ray diffraction stick pattern (CuKα), based on a cell relaxed with GGA-PBE.
No peak broadening, texture or thermal motion is included.

Largest 10 diffraction maxima, in order of falling intensity, 10 to 80 degrees two-theta:
Position (°2θ)	I/Imax
38.31	100
18.18	63
33.42	30
36.85	25
50.59	19
67.35	18
61.97	16
20.95	15
47.99	14
29.80	13

Atomic structure:
Cell: 5.995 5.995 4.878 Å, 90.00 90.00 90.00°
Fractional coordinates of all 10 atoms:
Na1 0.171 0.329 0.000
Na2 0.329 0.829 0.000
Na3 0.671 0.171 0.000
Na4 0.829 0.671 0.000
Be1 0.000 0.000 0.500
Be2 0.500 0.500 0.500
Pd1 0.157 0.657 0.500
Pd2 0.343 0.157 0.500
Pd3 0.657 0.843 0.500
Pd4 0.843 0.343 0.500